The following is a calculated XRD peak list of Ga4PdRu3. It was derived from a crystal structure in Alexandria, relaxed with GGA-PBE, using CuKα.
No peak broadening, texture or thermal motion is included.

Principal peaks in the range 2θ from 10° to 90°, sorted by position:
2theta	I_rel
28.83	2
29.60	4
41.79	100
42.14	24
42.58	24
59.71	9
61.46	15
69.30	1
75.76	8
76.08	8
76.78	15
77.40	16

Structural model:
Cell: 3.0972 4.2460 8.5784 Å, 90.00 90.00 90.00°
Element x y z (fractional)
Ga 0.0000 0.0000 0.0000
Ga 0.0000 0.0000 0.5000
Ga 0.0000 0.5000 0.2410
Ga 0.0000 0.5000 0.7590
Pd 0.5000 0.5000 0.5000
Ru 0.5000 0.0000 0.2584
Ru 0.5000 0.0000 0.7416
Ru 0.5000 0.5000 0.0000

The following is a calculated XRD peak list of GdB3N3. It was derived from a crystal structure in Alexandria, relaxed with GGA-PBE, using CuKα.
No peak broadening, texture or thermal motion is included.

Principal peaks in the range 2θ from 10° to 90°, sorted by position:
2theta	I_rel
26.16	100
37.33	36
46.15	77
53.82	15
60.80	21
67.33	3
73.56	37
79.59	5
85.51	13

Structural model:
Cell: 4.8178 4.8178 4.8178 Å, 90.00 90.00 90.00°
Element x y z (fractional)
Gd 0.0000 0.0000 0.0000
Gd 0.5000 0.5000 0.5000
B 0.0000 0.2500 0.5000
B 0.0000 0.7500 0.5000
B 0.2500 0.5000 0.0000
B 0.5000 0.0000 0.2500
B 0.5000 0.0000 0.7500
B 0.7500 0.5000 0.0000
N 0.0000 0.5000 0.2500
N 0.0000 0.5000 0.7500
N 0.2500 0.0000 0.5000
N 0.5000 0.2500 0.0000
N 0.5000 0.7500 0.0000
N 0.7500 0.0000 0.5000

The following is a calculated XRD peak list of Mn4Si7. It was derived from a crystal structure in Alexandria, relaxed with GGA-PBE, using CuKα.
No peak broadening, texture or thermal motion is included.

Principal peaks in the range 2θ from 10° to 90°, sorted by position:
2theta	I_rel
26.17	40
32.56	16
39.83	29
42.24	100
43.29	27
46.72	36
48.03	51
54.33	44
69.25	12
74.42	9
77.65	13
87.72	16

Structural model:
Cell: 5.4994 5.4992 17.3505 Å, 90.00 90.00 90.00°
Element x y z (fractional)
Mn 0.2500 0.0000 0.0288
Mn 0.2500 0.0000 0.2825
Mn 0.2500 0.0000 0.5288
Mn 0.2500 0.0000 0.7825
Mn 0.2500 0.5000 0.0884
Mn 0.2500 0.5000 0.3478
Mn 0.2500 0.5000 0.5884
Mn 0.2500 0.5000 0.8478
Mn 0.7500 0.0000 0.2175
Mn 0.7500 0.0000 0.4712
Mn 0.7500 0.0000 0.7175
Mn 0.7500 0.0000 0.9712
Mn 0.7500 0.5000 0.1522
Mn 0.7500 0.5000 0.4116
Mn 0.7500 0.5000 0.6522
Mn 0.7500 0.5000 0.9116
Si 0.0000 0.3461 0.2500
Si 0.0000 0.6539 0.7500
Si 0.0622 0.1567 0.3981
Si 0.0622 0.8433 0.8981
Si 0.0883 0.3286 0.9664
Si 0.0883 0.6714 0.4664
Si 0.0959 0.2133 0.6735
Si 0.0959 0.7867 0.1735
Si 0.4041 0.2133 0.1735
Si 0.4041 0.7867 0.6735
Si 0.4117 0.3286 0.4664
Si 0.4117 0.6714 0.9664
Si 0.4378 0.1567 0.8981
Si 0.4378 0.8433 0.3981
Si 0.5000 0.3461 0.7500
Si 0.5000 0.6539 0.2500
Si 0.5622 0.1567 0.6019
Si 0.5622 0.8433 0.1019
Si 0.5883 0.3286 0.0336
Si 0.5883 0.6714 0.5336
Si 0.5959 0.2133 0.3265
Si 0.5959 0.7867 0.8265
Si 0.9041 0.2133 0.8265
Si 0.9041 0.7867 0.3265
Si 0.9117 0.3286 0.5336
Si 0.9117 0.6714 0.0336
Si 0.9378 0.1567 0.1019
Si 0.9378 0.8433 0.6019

The following is a calculated XRD peak list of Pr2Dy4HoTh. It was derived from a crystal structure in Alexandria, relaxed with GGA-PBE, using CuKα.
No peak broadening, texture or thermal motion is included.

Principal peaks in the range 2θ from 10° to 90°, sorted by position:
2theta	I_rel
30.15	59
32.12	100
43.16	22
48.85	8
54.80	45
58.48	18
62.68	7
67.20	12
71.11	10
72.19	10
80.62	7
87.97	12

Structural model:
Cell: 5.9262 5.9318 7.4580 Å, 90.00 90.00 90.00°
Element x y z (fractional)
Pr 0.0000 0.0000 0.0000
Pr 0.5000 0.5000 0.5000
Dy 0.0000 0.5000 0.2505
Dy 0.0000 0.5000 0.7495
Dy 0.5000 0.0000 0.2491
Dy 0.5000 0.0000 0.7509
Ho 0.0000 0.0000 0.5000
Th 0.5000 0.5000 0.0000

The following is a calculated XRD peak list of Sm7ErMg2. It was derived from a crystal structure in Alexandria, relaxed with GGA-PBE, using CuKα.
No peak broadening, texture or thermal motion is included.

Principal peaks in the range 2θ from 10° to 90°, sorted by position:
2theta	I_rel
11.36	55
26.31	54
27.30	60
29.56	71
33.44	100
33.88	51
35.35	79
40.99	29
45.56	43
54.19	26
61.92	29
62.12	28

Structural model:
Cell: 9.4002 9.4002 5.2921 Å, 90.00 90.00 124.06°
Element x y z (fractional)
Sm 0.0000 0.0000 0.0000
Sm 0.2035 0.4299 0.0000
Sm 0.2892 0.7108 0.5000
Sm 0.4299 0.2035 0.0000
Sm 0.5701 0.7965 0.0000
Sm 0.7108 0.2892 0.5000
Sm 0.7965 0.5701 0.0000
Er 0.5000 0.5000 0.5000
Mg 0.2014 0.7986 0.0000
Mg 0.7986 0.2014 0.0000

The following is a calculated XRD peak list of KTmB2H8. It was derived from a crystal structure in Alexandria, relaxed with GGA-PBE, using CuKα.
No peak broadening, texture or thermal motion is included.

Principal peaks in the range 2θ from 10° to 90°, sorted by position:
2theta	I_rel
11.44	100
22.99	42
25.93	39
26.79	84
29.98	94
32.19	24
40.51	40
45.21	29
46.79	18
47.09	21
51.31	31
67.27	23

Structural model:
Cell: 8.0753 8.0753 8.0753 Å, 28.76 28.76 28.76°
Element x y z (fractional)
K 0.0000 0.0000 0.0000
Tm 0.5000 0.5000 0.5000
B 0.2387 0.2387 0.2387
B 0.7613 0.7613 0.7613
H 0.0511 0.0511 0.5568
H 0.0511 0.5568 0.0511
H 0.2916 0.2916 0.2916
H 0.4432 0.9489 0.9489
H 0.5568 0.0511 0.0511
H 0.7084 0.7084 0.7084
H 0.9489 0.4432 0.9489
H 0.9489 0.9489 0.4432

The following is a calculated XRD peak list of Bi2SeI3. It was derived from a crystal structure in Alexandria, relaxed with GGA-PBE, using CuKα.
No peak broadening, texture or thermal motion is included.

Principal peaks in the range 2θ from 10° to 90°, sorted by position:
2theta	I_rel
11.35	41
18.45	26
24.07	50
24.25	100
28.28	84
29.71	31
31.26	81
35.07	30
36.15	27
39.02	47
42.78	31
43.85	49

Structural model:
Cell: 10.9825 10.9825 15.6833 Å, 129.25 129.25 22.19°
Element x y z (fractional)
Bi 0.0869 0.0869 0.4818
Bi 0.3647 0.3647 0.1663
Bi 0.6353 0.6353 0.8337
Bi 0.9131 0.9131 0.5182
Se 0.0929 0.0929 0.6763
Se 0.9071 0.9071 0.3237
I 0.1781 0.1781 0.0357
I 0.2706 0.2706 0.3801
I 0.4536 0.4536 0.7175
I 0.5464 0.5464 0.2825
I 0.7294 0.7294 0.6199
I 0.8219 0.8219 0.9643

The following is a calculated XRD peak list of Sm2InB2Rh5. It was derived from a crystal structure in Alexandria, relaxed with GGA-PBE, using CuKα.
No peak broadening, texture or thermal motion is included.

Principal peaks in the range 2θ from 10° to 90°, sorted by position:
2theta	I_rel
34.39	75
37.99	100
39.12	12
40.28	77
41.34	35
43.49	23
56.64	17
62.36	14
63.95	23
67.86	21
70.22	26
72.49	13

Structural model:
Cell: 9.7682 9.7682 3.2503 Å, 90.00 90.00 90.00°
Element x y z (fractional)
Sm 0.1767 0.3233 0.0000
Sm 0.3233 0.8233 0.0000
Sm 0.6767 0.1767 0.0000
Sm 0.8233 0.6767 0.0000
In 0.0000 0.0000 0.0000
In 0.5000 0.5000 0.0000
B 0.1203 0.6203 0.0000
B 0.3797 0.1203 0.0000
B 0.6203 0.8797 0.0000
B 0.8797 0.3797 0.0000
Rh 0.0000 0.5000 0.5000
Rh 0.0701 0.7716 0.5000
Rh 0.2284 0.0701 0.5000
Rh 0.2716 0.5701 0.5000
Rh 0.4299 0.2716 0.5000
Rh 0.5000 0.0000 0.5000
Rh 0.5701 0.7284 0.5000
Rh 0.7284 0.4299 0.5000
Rh 0.7716 0.9299 0.5000
Rh 0.9299 0.2284 0.5000

The following is a calculated XRD peak list of CaTl5. It was derived from a crystal structure in Alexandria, relaxed with GGA-PBE, using CuKα.
No peak broadening, texture or thermal motion is included.

Principal peaks in the range 2θ from 10° to 90°, sorted by position:
2theta	I_rel
30.92	50
31.14	100
32.62	43
36.44	63
36.60	33
51.47	24
51.64	12
53.72	21
61.40	21
62.04	12
62.47	28
64.95	13

Structural model:
Cell: 5.8450 10.6202 6.1570 Å, 90.00 110.07 90.00°
Element x y z (fractional)
Ca 0.2319 0.2500 0.4751
Ca 0.7681 0.7500 0.5249
Tl 0.2369 0.0829 0.9842
Tl 0.2369 0.4171 0.9842
Tl 0.2628 0.5840 0.5170
Tl 0.2628 0.9160 0.5170
Tl 0.2696 0.7500 0.0216
Tl 0.7304 0.2500 0.9784
Tl 0.7372 0.0840 0.4830
Tl 0.7372 0.4160 0.4830
Tl 0.7631 0.5829 0.0158
Tl 0.7631 0.9171 0.0158

The following is a calculated XRD peak list of Cs2BeCuAs2. It was derived from a crystal structure in Alexandria, relaxed with GGA-PBE, using CuKα.
No peak broadening, texture or thermal motion is included.

Principal peaks in the range 2θ from 10° to 90°, sorted by position:
2theta	I_rel
15.42	18
22.47	43
26.22	49
29.83	22
30.12	22
31.56	100
33.75	24
34.00	26
42.91	34
44.93	14
54.04	24
54.41	21

Structural model:
Cell: 12.2380 12.2380 12.2380 Å, 151.67 40.30 151.94°
Element x y z (fractional)
Cs 0.1345 0.2420 0.3765
Cs 0.3655 0.7420 0.1075
Cs 0.6345 0.2580 0.8925
Cs 0.8655 0.7580 0.6235
Be 0.2500 0.7500 0.5000
Be 0.7500 0.2500 0.5000
Cu 0.2500 0.2500 0.0000
Cu 0.7500 0.7500 0.0000
As 0.0527 0.7317 0.7844
As 0.4473 0.2317 0.6790
As 0.5527 0.7683 0.3210
As 0.9473 0.2683 0.2156

The following is a calculated XRD peak list of In2TePbO8. It was derived from a crystal structure in Alexandria, relaxed with GGA-PBE, using CuKα.
No peak broadening, texture or thermal motion is included.

Principal peaks in the range 2θ from 10° to 90°, sorted by position:
2theta	I_rel
25.20	61
26.30	53
32.41	100
36.74	29
49.16	41
50.41	37
51.74	9
60.60	9
61.28	10
63.45	22
67.85	11
86.19	15

Structural model:
Cell: 4.8948 6.6946 4.8980 Å, 90.00 92.40 90.00°
Element x y z (fractional)
In 0.0000 0.2442 0.0000
In 0.0000 0.7558 0.0000
Te 0.5000 0.0000 0.5000
Pb 0.5000 0.5000 0.5000
O 0.1923 0.5000 0.1908
O 0.2120 0.0000 0.2106
O 0.3138 0.2202 0.6849
O 0.3138 0.7798 0.6849
O 0.6862 0.2202 0.3151
O 0.6862 0.7798 0.3151
O 0.7880 0.0000 0.7894
O 0.8077 0.5000 0.8092

The following is a calculated XRD peak list of RbTl7Sn5. It was derived from a crystal structure in Alexandria, relaxed with GGA-PBE, using CuKα.
No peak broadening, texture or thermal motion is included.

Principal peaks in the range 2θ from 10° to 90°, sorted by position:
2theta	I_rel
11.09	15
27.32	36
27.45	25
31.64	79
31.74	62
31.84	16
35.52	100
35.67	36
51.14	21
53.91	19
56.33	25
56.64	20

Structural model:
Cell: 8.6207 8.6207 8.6207 Å, 135.52 98.61 97.86°
Element x y z (fractional)
Rb 0.0000 0.0000 0.0000
Tl 0.2069 0.5011 0.7059
Tl 0.2254 0.7254 0.5000
Tl 0.3473 0.3473 0.0000
Tl 0.3591 0.0071 0.3520
Tl 0.6400 0.6400 0.0000
Tl 0.6551 0.0071 0.6480
Tl 0.7952 0.5011 0.2941
Sn 0.5115 0.0011 0.0065
Sn 0.5115 0.5049 0.5104
Sn 0.7847 0.2847 0.5000
Sn 0.9946 0.0011 0.4896
Sn 0.9946 0.5049 0.9935